No. 1
The following is a simulated powder diffraction line list of PmPrNdY. It was derived from the GGA-PBE geometry in Alexandria, using CuKα.
Kinematic intensities with the Lorentz-polarization factor, no thermal factor.

Most intense lines, 5 to 70 degrees two-theta, by angle:
two_theta	Rel. int.
17.19	1
19.18	3
24.31	1
29.92	100
34.64	34
34.78	17
49.87	36
59.20	29
59.37	14
62.17	12

Atomic structure:
a b c (Å): 6.327 6.327 6.327
angles (deg): 131.68 131.68 70.73
Sites, in units of the cell vectors:
Pm 0.000 0.000 0.000
Pr 0.250 0.750 0.500
Nd 0.500 0.500 0.000
Y 0.750 0.250 0.500


No. 2
The following is a simulated powder diffraction line list of NpBIr6. It was derived from the GGA-PBE geometry in Alexandria, using CuKα.
Kinematic intensities with the Lorentz-polarization factor, no thermal factor.

Most intense lines, 5 to 70 degrees two-theta, by angle:
two_theta	Rel. int.
31.00	37
36.38	22
37.54	100
37.64	19
39.14	36
49.14	22
50.13	26
59.78	16
66.65	23
68.62	11

Atomic structure:
a b c (Å): 5.774 5.774 5.774
angles (deg): 58.15 58.15 58.15
Sites, in units of the cell vectors:
Np 0.000 0.000 0.000
B 0.500 0.500 0.500
Ir 0.064 0.599 0.599
Ir 0.401 0.401 0.936
Ir 0.401 0.936 0.401
Ir 0.599 0.064 0.599
Ir 0.599 0.599 0.064
Ir 0.936 0.401 0.401


No. 3
The following is a simulated powder diffraction line list of Ce2Ge3Ir2. It was derived from the GGA-PBE geometry in Alexandria, using CuKα.
Kinematic intensities with the Lorentz-polarization factor, no thermal factor.

Most intense lines, 5 to 70 degrees two-theta, by angle:
two_theta	Rel. int.
9.61	100
33.39	100
34.74	76
36.21	53
39.15	38
41.33	43
42.91	54
43.04	53
59.46	30
62.40	35

Atomic structure:
a b c (Å): 9.442 9.442 7.087
angles (deg): 90.00 90.00 154.20
Sites, in units of the cell vectors:
Ce 0.055 0.945 0.750
Ce 0.159 0.841 0.250
Ce 0.841 0.159 0.750
Ce 0.945 0.055 0.250
Ge 0.221 0.779 0.750
Ge 0.437 0.563 0.565
Ge 0.437 0.563 0.935
Ge 0.563 0.437 0.065
Ge 0.563 0.437 0.435
Ge 0.779 0.221 0.250
Ir 0.306 0.694 0.046
Ir 0.306 0.694 0.454
Ir 0.694 0.306 0.546
Ir 0.694 0.306 0.954


No. 4
The following is a simulated powder diffraction line list of Pm6Nd4Ho. It was derived from the GGA-PBE geometry in Alexandria, using CuKα.
Kinematic intensities with the Lorentz-polarization factor, no thermal factor.

Most intense lines, 5 to 70 degrees two-theta, by angle:
two_theta	Rel. int.
27.98	43
28.41	66
29.22	33
30.04	100
31.32	24
33.80	71
36.66	29
37.67	29
39.78	31
56.43	29

Atomic structure:
a b c (Å): 9.809 9.809 9.809
angles (deg): 139.72 139.72 58.27
Sites, in units of the cell vectors:
Pm 0.000 0.500 0.500
Pm 0.052 0.700 0.000
Pm 0.300 0.300 0.351
Pm 0.500 0.000 0.500
Pm 0.700 0.052 0.000
Pm 0.948 0.948 0.649
Nd 0.134 0.134 0.621
Nd 0.487 0.866 0.000
Nd 0.513 0.513 0.379
Nd 0.866 0.487 0.000
Ho 0.500 0.500 0.000


No. 5
The following is a simulated powder diffraction line list of Ni21Sb2P6. It was derived from the GGA-PBE geometry in Alexandria, using CuKα.
Kinematic intensities with the Lorentz-polarization factor, no thermal factor.

Most intense lines, 5 to 70 degrees two-theta, by angle:
two_theta	Rel. int.
15.92	5
36.09	35
39.67	39
42.19	100
46.13	47
48.38	30
49.11	7
54.70	24
67.29	7
69.66	10

Atomic structure:
a b c (Å): 7.871 7.871 7.871
angles (deg): 60.00 60.00 60.00
Sites, in units of the cell vectors:
Ni 0.000 0.000 0.000
Ni 0.000 0.000 0.347
Ni 0.000 0.000 0.653
Ni 0.000 0.347 0.000
Ni 0.000 0.347 0.653
Ni 0.000 0.653 0.000
Ni 0.000 0.653 0.347
Ni 0.148 0.617 0.617
Ni 0.347 0.000 0.000
Ni 0.347 0.000 0.653
Ni 0.347 0.653 0.000
Ni 0.383 0.383 0.383
Ni 0.383 0.383 0.852
Ni 0.383 0.852 0.383
Ni 0.617 0.148 0.617
Ni 0.617 0.617 0.148
Ni 0.617 0.617 0.617
Ni 0.653 0.000 0.000
Ni 0.653 0.000 0.347
Ni 0.653 0.347 0.000
Ni 0.852 0.383 0.383
Sb 0.250 0.250 0.250
Sb 0.750 0.750 0.750
P 0.263 0.263 0.737
P 0.263 0.737 0.263
P 0.263 0.737 0.737
P 0.737 0.263 0.263
P 0.737 0.263 0.737
P 0.737 0.737 0.263


No. 6
The following is a simulated powder diffraction line list of Pr5Y3Ho. It was derived from the GGA-PBE geometry in Alexandria, using CuKα.
Kinematic intensities with the Lorentz-polarization factor, no thermal factor.

Most intense lines, 5 to 70 degrees two-theta, by angle:
two_theta	Rel. int.
17.80	34
26.35	54
28.21	66
29.11	78
29.65	70
30.00	41
31.33	86
32.64	37
33.29	100
39.17	35

Atomic structure:
a b c (Å): 10.639 10.639 11.810
angles (deg): 120.82 120.82 34.75
Sites, in units of the cell vectors:
Pr 0.036 0.685 0.337
Pr 0.091 0.909 0.750
Pr 0.139 0.503 0.667
Pr 0.315 0.964 0.163
Pr 0.497 0.861 0.833
Pr 0.503 0.139 0.167
Pr 0.685 0.036 0.837
Pr 0.861 0.497 0.333
Pr 0.909 0.091 0.250
Pr 0.964 0.315 0.663
Y 0.099 0.552 0.975
Y 0.448 0.901 0.525
Y 0.500 0.500 0.000
Y 0.500 0.500 0.500
Y 0.552 0.099 0.475
Y 0.901 0.448 0.025
Ho 0.398 0.602 0.250
Ho 0.602 0.398 0.750


No. 7
The following is a simulated powder diffraction line list of BaNi9P4. It was derived from the GGA-PBE geometry in Alexandria, using CuKα.
Kinematic intensities with the Lorentz-polarization factor, no thermal factor.

Most intense lines, 5 to 70 degrees two-theta, by angle:
two_theta	Rel. int.
31.02	20
35.07	13
35.87	16
36.14	15
38.74	18
39.48	100
47.13	43
47.98	31
48.39	21
52.03	16

Atomic structure:
a b c (Å): 8.008 8.008 8.008
angles (deg): 121.22 121.22 87.90
Sites, in units of the cell vectors:
Ba 0.250 0.250 0.000
Ba 0.750 0.750 0.000
Ni 0.000 0.500 0.500
Ni 0.055 0.555 0.233
Ni 0.079 0.797 0.876
Ni 0.178 0.945 0.500
Ni 0.203 0.079 0.282
Ni 0.297 0.579 0.876
Ni 0.322 0.822 0.767
Ni 0.421 0.297 0.718
Ni 0.445 0.678 0.500
Ni 0.500 0.000 0.500
Ni 0.555 0.322 0.500
Ni 0.579 0.703 0.282
Ni 0.678 0.178 0.233
Ni 0.703 0.421 0.124
Ni 0.797 0.921 0.718
Ni 0.822 0.055 0.500
Ni 0.921 0.203 0.124
Ni 0.945 0.445 0.767
P 0.048 0.214 0.500
P 0.214 0.714 0.166
P 0.286 0.452 0.500
P 0.452 0.952 0.166
P 0.548 0.048 0.834
P 0.714 0.548 0.500
P 0.786 0.286 0.834
P 0.952 0.786 0.500


What did the sixth record say?
The following is a simulated powder diffraction line list of Pr5Y3Ho. It was derived from the GGA-PBE geometry in Alexandria, using CuKα.
Kinematic intensities with the Lorentz-polarization factor, no thermal factor.

Most intense lines, 5 to 70 degrees two-theta, by angle:
two_theta	Rel. int.
17.80	34
26.35	54
28.21	66
29.11	78
29.65	70
30.00	41
31.33	86
32.64	37
33.29	100
39.17	35

Atomic structure:
a b c (Å): 10.639 10.639 11.810
angles (deg): 120.82 120.82 34.75
Sites, in units of the cell vectors:
Pr 0.036 0.685 0.337
Pr 0.091 0.909 0.750
Pr 0.139 0.503 0.667
Pr 0.315 0.964 0.163
Pr 0.497 0.861 0.833
Pr 0.503 0.139 0.167
Pr 0.685 0.036 0.837
Pr 0.861 0.497 0.333
Pr 0.909 0.091 0.250
Pr 0.964 0.315 0.663
Y 0.099 0.552 0.975
Y 0.448 0.901 0.525
Y 0.500 0.500 0.000
Y 0.500 0.500 0.500
Y 0.552 0.099 0.475
Y 0.901 0.448 0.025
Ho 0.398 0.602 0.250
Ho 0.602 0.398 0.750